[1]
Structure and computed powder X-ray diffraction pattern of Li9Mn2Co5O16 (a crystal structure in the Materials Project, relaxed with GGA+U; Cu Kα X-rays).

a = 2.9092 Å, b = 5.1411 Å, c = 19.2997 Å
α = 94.70°, β = 91.70°, γ = 90.65°
Space group P1 (No. 1)
Inequivalent atoms, fractional coordinates:
Li (0.0000, 0.0000, 0.0000)
Li (0.0043, 0.1142, 0.3725)
Li (0.0134, 0.3617, 0.1186)
Li (0.4906, 0.7445, 0.7501)
Li (0.4968, 0.9949, 0.4968)
Li (0.5051, 0.2445, 0.2483)
Li (0.5137, 0.4884, 0.9951)
Li (0.9824, 0.8652, 0.6190)
Li (0.9879, 0.6159, 0.8797)
Mn (0.5110, 0.8786, 0.1198)
Mn (0.9924, 0.2411, 0.7482)
Co (0.0140, 0.7398, 0.2483)
Co (0.4813, 0.3753, 0.6207)
Co (0.5002, 0.0956, 0.8825)
Co (0.5089, 0.6079, 0.3735)
Co (0.9929, 0.4932, 0.4975)
O (0.0003, 0.7757, 0.4346)
O (0.0078, 0.2954, 0.9301)
O (0.0210, 0.4397, 0.3130)
O (0.0240, 0.0325, 0.1809)
O (0.4500, 0.6716, 0.5582)
O (0.4804, 0.0766, 0.6905)
O (0.4976, 0.9099, 0.3092)
O (0.5016, 0.8132, 0.9296)
O (0.5052, 0.1564, 0.0669)
O (0.5051, 0.4048, 0.8016)
O (0.5307, 0.5849, 0.1881)
O (0.5344, 0.3179, 0.4379)
O (0.9829, 0.5289, 0.6863)
O (0.9842, 0.2081, 0.5592)
O (0.9957, 0.9654, 0.8083)
O (0.9987, 0.7024, 0.0690)

The 8 most intense peaks (10° ≤ 2θ ≤ 90°), in order of rising 2θ:
2θ 18.28, I = 100, hkl 0 1 1
2θ 35.59, I = 15, hkl 1 0 -4
2θ 35.80, I = 13, hkl 0 1 -7
2θ 36.61, I = 13, hkl 1 0 4
2θ 42.90, I = 29, hkl -1 1 5
2θ 43.37, I = 27, hkl 0 2 -6
2θ 44.35, I = 26, hkl 1 1 5
2θ 62.72, I = 15, hkl 0 2 10

***

[2]
Structure and computed powder X-ray diffraction pattern of MgMn4O8 (a crystal structure in the Materials Project, relaxed with GGA+U; Cu Kα X-rays).

a = 5.8304 Å, b = 5.8614 Å, c = 8.8261 Å
α = 90.00°, β = 90.00°, γ = 90.00°
Space group Imm2 (No. 44)
Inequivalent atoms, fractional coordinates:
Mg (0.0000, 0.0000, 0.0000)
Mn (0.0000, 0.2452, 0.6140)
Mn (0.2444, 0.0000, 0.3657)
O (0.0000, 0.2135, 0.3630)
O (0.0000, 0.2762, 0.8645)
O (0.2224, 0.0000, 0.5832)
O (0.2254, 0.5000, 0.6372)

The 8 most intense peaks (10° ≤ 2θ ≤ 90°), in order of rising 2θ:
2θ 18.20, I = 100, hkl 0 1 1
2θ 34.12, I = 25, hkl 1 0 3
2θ 35.77, I = 19, hkl 1 2 1
2θ 35.88, I = 21, hkl 2 1 1
2θ 40.90, I = 22, hkl 0 0 4
2θ 43.80, I = 36, hkl 2 2 0
2θ 54.28, I = 10, hkl 0 1 5
2θ 61.47, I = 28, hkl 2 2 4

***

[3]
Structure and computed powder X-ray diffraction pattern of MgCo6O8F4 (a crystal structure in the Materials Project, relaxed with GGA+U; Cu Kα X-rays).

a = 8.1244 Å, b = 6.1540 Å, c = 8.8216 Å
α = 90.00°, β = 90.92°, γ = 90.00°
Space group Cm (No. 8)
Inequivalent atoms, fractional coordinates:
Mg (0.0000, 0.0000, 0.0000)
Co (0.2021, 0.5000, 0.8313)
Co (0.2540, 0.5000, 0.1880)
Co (0.2900, 0.0000, 0.3364)
Co (0.3064, 0.0000, 0.6703)
Co (0.3283, 0.5000, 0.5134)
Co (0.3327, 0.0000, 0.0090)
O (0.1685, 0.0000, 0.1564)
O (0.2918, 0.3051, 0.6725)
O (0.3009, 0.3080, 0.0062)
O (0.3041, 0.3080, 0.3450)
O (0.4805, 0.0000, 0.8444)
F (0.0031, 0.5000, 0.1795)
F (0.1175, 0.0000, 0.4994)
F (0.1307, 0.0000, 0.8291)
F (0.4597, 0.0000, 0.5046)

The 8 most intense peaks (10° ≤ 2θ ≤ 90°), in order of rising 2θ:
2θ 21.88, I = 100, hkl 2 0 0
2θ 29.02, I = 82, hkl 0 2 0
2θ 35.44, I = 34, hkl 1 1 -3
2θ 35.76, I = 35, hkl 1 1 3
2θ 37.51, I = 20, hkl 2 0 -3
2θ 47.64, I = 23, hkl 3 1 -3
2θ 48.38, I = 21, hkl 3 1 3
2θ 55.70, I = 19, hkl 1 3 -3

***

[4]
Structure and computed powder X-ray diffraction pattern of Li9Mn4B8O24 (a crystal structure in the Materials Project, relaxed with GGA+U; Cu Kα X-rays).

a = 5.2137 Å, b = 8.7987 Å, c = 9.7167 Å
α = 89.07°, β = 86.33°, γ = 89.00°
Space group P1 (No. 1)
Inequivalent atoms, fractional coordinates:
Li (0.0000, 0.0000, 0.0000)
Li (0.0293, 0.2815, 0.5162)
Li (0.1375, 0.7864, 0.2356)
Li (0.1908, 0.7475, 0.7852)
Li (0.4345, 0.8847, 0.4654)
Li (0.5123, 0.8480, 0.0125)
Li (0.6285, 0.6629, 0.2468)
Li (0.6733, 0.3302, 0.3090)
Li (0.7068, 0.3690, 0.7733)
Mn (0.1928, 0.1092, 0.2509)
Mn (0.4167, 0.5188, 0.0041)
Mn (0.7022, 0.0232, 0.7489)
Mn (0.9258, 0.6119, 0.5048)
B (0.1377, 0.4631, 0.2661)
B (0.1459, 0.1031, 0.7421)
B (0.4855, 0.5268, 0.5130)
B (0.4894, 0.1774, 0.9917)
B (0.6542, 0.6814, 0.7665)
B (0.6562, 0.9919, 0.2383)
B (0.9659, 0.9500, 0.4942)
B (0.9786, 0.6081, 0.0135)
O (0.0452, 0.3237, 0.2929)
O (0.0545, 0.9585, 0.7822)
O (0.0720, 0.4631, 0.9886)
O (0.0745, 0.8069, 0.4712)
O (0.1217, 0.0680, 0.4486)
O (0.1802, 0.7126, 0.0185)
O (0.2356, 0.4861, 0.5235)
O (0.2602, 0.1307, 0.0541)
O (0.3864, 0.4927, 0.2057)
O (0.3945, 0.1430, 0.7294)
O (0.4885, 0.8725, 0.2332)
O (0.4896, 0.5630, 0.8077)
O (0.5578, 0.8255, 0.7947)
O (0.5601, 0.1340, 0.2740)
O (0.5684, 0.3242, 0.9696)
O (0.5724, 0.6741, 0.4834)
O (0.6615, 0.0603, 0.9458)
O (0.6980, 0.4284, 0.5219)
O (0.7248, 0.6474, 0.0338)
O (0.7258, 0.9732, 0.5582)
O (0.8914, 0.6468, 0.7017)
O (0.9170, 0.9682, 0.2069)
O (0.9373, 0.1985, 0.7144)
O (0.9794, 0.5911, 0.3037)

The 8 most intense peaks (10° ≤ 2θ ≤ 90°), in order of rising 2θ:
2θ 18.84, I = 100, hkl 1 0 1
2θ 20.19, I = 81, hkl 0 2 0
2θ 20.79, I = 61, hkl 0 1 2
2θ 21.06, I = 62, hkl 0 1 -2
2θ 34.88, I = 19, hkl 1 3 0
2θ 35.39, I = 21, hkl 1 -3 0
2θ 37.09, I = 63, hkl 0 0 4
2θ 54.36, I = 15, hkl 3 -1 1

***

[5]
Structure and computed powder X-ray diffraction pattern of Li2Mn3NbO8 (a crystal structure in the Materials Project, relaxed with GGA+U; Cu Kα X-rays).

a = 6.0444 Å, b = 10.3120 Å, c = 9.9150 Å
α = 90.00°, β = 93.88°, γ = 90.00°
Space group Cc (No. 9)
Inequivalent atoms, fractional coordinates:
Li (0.0000, 0.0006, 0.0000)
Li (0.0074, 0.3340, 0.5854)
Mn (0.2438, 0.4140, 0.2737)
Mn (0.2527, 0.0833, 0.7751)
Mn (0.4988, 0.3311, 0.7759)
Nb (0.0191, 0.3331, 0.9995)
O (0.0062, 0.3340, 0.3734)
O (0.0143, 0.4815, 0.1422)
O (0.2231, 0.2512, 0.1320)
O (0.2385, 0.0783, 0.3953)
O (0.2385, 0.4128, 0.9016)
O (0.2755, 0.2372, 0.6552)
O (0.4708, 0.3323, 0.3983)
O (0.4884, 0.4992, 0.1868)

The 8 most intense peaks (10° ≤ 2θ ≤ 90°), in order of rising 2θ:
2θ 18.79, I = 89, hkl 1 1 -1
2θ 19.41, I = 93, hkl 0 2 1
2θ 19.73, I = 100, hkl 1 1 1
2θ 31.25, I = 52, hkl 1 1 -3
2θ 35.14, I = 48, hkl 2 2 -1
2θ 35.64, I = 53, hkl 1 3 2
2θ 35.97, I = 54, hkl 2 0 2
2θ 62.17, I = 53, hkl 2 6 0

***

[6]
Structure and computed powder X-ray diffraction pattern of TiNi3Sn2P6O24 (a crystal structure in the Materials Project, relaxed with GGA+U; Cu Kα X-rays).

a = 8.6701 Å, b = 8.6701 Å, c = 20.5564 Å
α = 90.00°, β = 90.00°, γ = 120.00°
Space group R3 (No. 146, hexagonal axes)
Inequivalent atoms, fractional coordinates:
Ti (0.0000, 0.0000, 0.0000)
Ni (0.0000, 0.0000, 0.2985)
Ni (0.0000, 0.0000, 0.5016)
Ni (0.0000, 0.0000, 0.7952)
Sn (0.0000, 0.0000, 0.1516)
Sn (0.0000, 0.0000, 0.6510)
P (0.0005, 0.7062, 0.3991)
P (0.0372, 0.3698, 0.5642)
O (0.0041, 0.7952, 0.4619)
O (0.0090, 0.8366, 0.0742)
O (0.0138, 0.1974, 0.9589)
O (0.0148, 0.1822, 0.5792)
O (0.1334, 0.6793, 0.0033)
O (0.1354, 0.4580, 0.5037)
O (0.1622, 0.6710, 0.3896)
O (0.1636, 0.4900, 0.8904)

The 8 most intense peaks (10° ≤ 2θ ≤ 90°), in order of rising 2θ:
2θ 20.49, I = 100, hkl 1 1 0
2θ 24.30, I = 56, hkl 2 -1 3
2θ 25.26, I = 26, hkl 2 0 2
2θ 33.33, I = 82, hkl 2 -1 6
2θ 35.88, I = 42, hkl 3 0 0
2θ 47.75, I = 27, hkl 1 2 8
2θ 49.78, I = 32, hkl 2 2 6
2θ 62.87, I = 28, hkl 1 4 6

***

[7]
Structure and computed powder X-ray diffraction pattern of MgMnSbO4 (a crystal structure in the Materials Project, relaxed with GGA+U; Cu Kα X-rays).

a = 4.2224 Å, b = 4.4933 Å, c = 9.7691 Å
α = 90.00°, β = 90.00°, γ = 90.00°
Space group Imm2 (No. 44)
Inequivalent atoms, fractional coordinates:
Mg (0.0000, 0.0000, 0.0000)
Mn (0.0000, 0.5000, 0.8090)
Sb (0.0000, 0.0000, 0.5775)
O (0.0000, 0.0000, 0.3700)
O (0.0000, 0.0000, 0.7967)
O (0.0000, 0.5000, 0.0483)
O (0.0000, 0.5000, 0.5812)

The 8 most intense peaks (10° ≤ 2θ ≤ 90°), in order of rising 2θ:
2θ 18.16, I = 34, hkl 0 0 2
2θ 21.77, I = 76, hkl 0 1 1
2θ 22.95, I = 100, hkl 1 0 1
2θ 34.00, I = 35, hkl 0 1 3
2θ 34.45, I = 67, hkl 1 1 2
2θ 36.80, I = 38, hkl 0 0 4
2θ 40.14, I = 45, hkl 0 2 0
2θ 42.83, I = 37, hkl 2 0 0